1.
Diffraction record for NaTlSiBiTeCl. The powder XRD pattern is simulated, not measured: it uses a PBE-relaxed structure and Cu Kα (weighted mean of Kα1 and Kα2).

Structure:
```
NaTlSiBiTeCl
1.0
3.748 0.000 0.000
0.000 4.560 0.000
-0.048 0.000 11.255
Na Tl Si Bi Te Cl
1 1 1 1 1 1
Cartesian
0.000 0.000 0.000
1.830 2.280 3.927
3.697 2.280 7.780
3.696 0.000 6.202
1.823 2.280 9.581
1.874 0.000 1.884
```

The 10 most intense peaks (10 to 90 degrees two-theta), sorted by position:
d 3.556, I 21.4
d 3.543, I 100.0
d 3.125, I 33.0
d 3.113, I 33.1
d 2.896, I 69.8
d 2.811, I 24.0
d 2.575, I 21.8
d 2.280, I 20.8
d 2.021, I 20.0
d 1.841, I 29.9

***

2.
Diffraction record for NaTlSiBiTeCl. The powder XRD pattern is simulated, not measured: it uses a PBE-relaxed structure and Cu Kα (weighted mean of Kα1 and Kα2).

Structure:
```
NaTlSiBiTeCl
1.0
4.335 0.000 0.000
-1.136 6.166 0.000
-0.996 -1.188 7.279
Na Tl Si Bi Te Cl
1 1 1 1 1 1
Cartesian
0.000 0.000 0.000
1.334 3.235 1.570
2.420 1.925 6.327
0.260 0.970 4.777
-1.034 3.652 4.530
2.189 0.207 1.493
```

The 10 most intense peaks (10 to 90 degrees two-theta), sorted by position:
d 6.085, I 76.0
d 4.207, I 42.2
d 3.929, I 49.5
d 3.640, I 100.0
d 3.411, I 90.9
d 3.157, I 36.6
d 3.004, I 73.6
d 2.983, I 89.4
d 2.710, I 52.4
d 2.534, I 58.7

***

3.
Diffraction record for Na2TlBiCl6. The powder XRD pattern is simulated, not measured: it uses a PBE-relaxed structure and Cu Kα (weighted mean of Kα1 and Kα2).

Structure:
```
Na2TlBiCl6
1.0
3.654 2.110 6.609
-3.654 2.110 6.609
0.000 -4.220 6.609
Na Tl Bi Cl
2 1 1 6
Cartesian
0.000 0.000 0.000
0.000 0.000 9.593
0.000 0.000 3.932
0.000 0.000 13.509
-1.234 -2.177 8.265
-2.046 -0.320 11.750
-1.268 2.157 8.265
1.300 -1.612 11.750
2.502 0.020 8.265
0.746 1.932 11.750
```

The 10 most intense peaks (10 to 90 degrees two-theta), sorted by position:
d 5.335, I 100.0
d 3.902, I 57.5
d 3.654, I 38.0
d 3.198, I 15.4
d 3.015, I 28.5
d 2.667, I 25.1
d 2.451, I 52.3
d 2.326, I 23.6
d 2.154, I 28.3
d 2.110, I 27.9

***

4.
Diffraction record for NbBi4ClO8. The powder XRD pattern is simulated, not measured: it uses a PBE-relaxed structure and Cu Kα (weighted mean of Kα1 and Kα2).

Structure:
```
NbBi4ClO8
1.0
5.553 0.000 0.000
0.000 5.625 0.000
0.000 0.000 29.318
Nb Bi Cl O
4 16 4 32
Cartesian
0.000 0.088 7.330
0.000 5.537 21.989
2.776 2.725 21.989
2.776 2.900 7.330
0.054 0.050 16.667
0.054 5.576 2.008
0.119 2.530 10.063
0.119 3.096 24.722
2.657 0.283 24.722
2.657 5.342 10.063
2.722 2.763 2.008
2.722 2.862 16.667
2.831 2.763 12.651
2.831 2.862 27.311
2.896 0.283 19.256
2.896 5.342 4.596
5.434 2.530 4.596
5.434 3.096 19.256
5.499 0.050 27.311
5.499 5.576 12.651
0.000 2.813 0.000
0.000 2.813 14.659
2.776 0.000 0.000
2.776 0.000 14.659
0.604 0.471 9.206
0.604 5.154 23.865
1.362 1.368 3.123
1.362 4.257 17.782
1.383 1.388 26.239
1.384 1.730 6.818
1.384 3.895 21.477
1.383 4.237 11.580
1.392 1.083 21.477
1.393 1.425 11.580
1.393 4.200 26.239
1.392 4.543 6.818
1.414 1.445 17.782
1.414 4.180 3.123
2.172 2.342 23.865
2.172 3.283 9.206
3.381 2.342 20.112
3.381 3.283 5.453
4.139 1.445 26.195
4.139 4.180 11.536
4.160 1.083 22.500
4.160 1.425 3.079
4.160 4.200 17.738
4.160 4.543 7.841
4.170 1.388 17.738
4.169 1.730 7.841
4.169 3.895 22.500
4.170 4.237 3.079
4.191 1.368 11.536
4.191 4.257 26.195
4.949 0.471 5.453
4.949 5.154 20.112
```

The 10 most intense peaks (10 to 90 degrees two-theta), sorted by position:
d 7.330, I 16.1
d 3.816, I 17.7
d 3.478, I 14.3
d 3.073, I 100.0
d 2.813, I 18.5
d 2.776, I 20.0
d 1.976, I 19.1
d 1.670, I 15.7
d 1.662, I 16.5
d 1.654, I 16.8

***

5.
Diffraction record for Nb2Bi3Pb2ClO11. The powder XRD pattern is simulated, not measured: it uses a PBE-relaxed structure and Cu Kα (weighted mean of Kα1 and Kα2).

Structure:
```
Nb2Bi3Pb2ClO11
1.0
3.943 0.000 0.000
0.000 3.943 0.000
0.000 0.000 19.942
Nb Bi Pb Cl O
2 3 2 1 11
Cartesian
0.000 0.000 2.277
0.000 0.000 17.664
0.000 0.000 7.967
0.000 0.000 11.975
1.972 1.972 0.000
1.972 1.972 5.448
1.972 1.972 14.493
1.972 1.972 9.971
0.000 0.000 0.000
0.000 0.000 4.091
0.000 0.000 15.851
0.000 1.972 1.854
0.000 1.972 6.867
0.000 1.972 13.075
0.000 1.972 18.088
1.972 0.000 1.854
1.972 0.000 6.867
1.972 0.000 13.075
1.972 0.000 18.088
```

The 10 most intense peaks (10 to 90 degrees two-theta), sorted by position:
d 6.647, I 21.7
d 3.667, I 10.8
d 3.392, I 11.6
d 3.093, I 100.0
d 2.788, I 45.3
d 1.993, I 19.1
d 1.972, I 24.9
d 1.663, I 33.8
d 1.647, I 11.7
d 1.622, I 13.0

***

6.
Diffraction record for NiBiCl6. The powder XRD pattern is simulated, not measured: it uses a PBE-relaxed structure and Cu Kα (weighted mean of Kα1 and Kα2).

Structure:
```
NiBiCl6
1.0
6.312 0.000 0.000
-3.154 5.474 0.000
-3.151 -1.821 5.761
Ni Bi Cl
1 1 6
Cartesian
0.000 0.000 0.000
-3.153 1.827 2.880
-4.404 3.708 4.435
-2.154 3.853 1.327
0.907 1.678 1.327
-0.900 1.975 4.434
2.161 -0.199 4.434
4.410 -0.054 1.326
```

The 10 most intense peaks (10 to 90 degrees two-theta), sorted by position:
d 5.215, I 19.4
d 4.622, I 100.0
d 3.391, I 42.6
d 2.769, I 38.9
d 2.608, I 20.3
d 2.128, I 45.4
d 2.010, I 29.3
d 1.865, I 18.3
d 1.823, I 20.5
d 1.494, I 16.3

***

7.
Diffraction record for NiBiSe2Cl. The powder XRD pattern is simulated, not measured: it uses a PBE-relaxed structure and Cu Kα (weighted mean of Kα1 and Kα2).

Structure:
```
NiBiSe2Cl
1.0
4.556 0.000 0.000
0.000 4.556 0.000
0.000 0.000 5.659
Ni Bi Se Cl
1 1 2 1
Cartesian
0.000 0.000 0.000
0.000 0.000 2.829
0.000 2.278 0.000
2.278 0.000 0.000
2.278 2.278 2.829
```

The 10 most intense peaks (10 to 90 degrees two-theta), sorted by position:
d 4.556, I 79.9
d 2.829, I 49.7
d 2.800, I 100.0
d 2.404, I 32.6
d 2.278, I 53.8
d 2.038, I 20.4
d 1.774, I 49.6
d 1.654, I 21.4
d 1.400, I 22.5
d 1.396, I 24.1

***

8.
Diffraction record for SiNi2BiCl. The powder XRD pattern is simulated, not measured: it uses a PBE-relaxed structure and Cu Kα (weighted mean of Kα1 and Kα2).

Structure:
```
SiNi2BiCl
1.0
4.423 0.000 0.000
0.000 4.423 0.000
0.000 0.000 4.963
Si Ni Bi Cl
1 2 1 1
Cartesian
0.000 0.000 0.000
0.000 2.211 0.000
2.211 0.000 0.000
2.211 2.211 2.482
0.000 0.000 2.482
```

The 10 most intense peaks (10 to 90 degrees two-theta), sorted by position:
d 4.423, I 27.7
d 3.302, I 58.9
d 2.646, I 100.0
d 2.482, I 28.4
d 2.211, I 40.5
d 1.837, I 24.0
d 1.651, I 31.9
d 1.462, I 15.6
d 1.346, I 23.6
d 1.323, I 15.1

***

9.
Diffraction record for NpBiClO6. The powder XRD pattern is simulated, not measured: it uses a PBE-relaxed structure and Cu Kα (weighted mean of Kα1 and Kα2).

Structure:
```
NpBiClO6
1.0
-3.841 4.026 5.621
3.841 -4.026 5.621
3.841 4.026 -5.621
Np Bi Cl O
2 2 2 12
Cartesian
0.000 0.000 0.000
0.000 4.026 0.000
-1.920 2.013 2.811
1.920 2.013 2.811
3.841 2.013 -1.390
0.000 2.013 7.011
1.369 0.477 1.344
6.312 0.477 1.344
3.841 -2.013 5.105
3.841 2.013 1.912
1.369 4.503 -1.344
2.472 0.477 4.277
1.369 3.549 1.344
2.472 -0.477 6.965
0.000 2.013 3.709
0.000 6.039 0.516
-2.472 3.549 4.277
2.472 3.549 4.277
```

The 10 most intense peaks (10 to 90 degrees two-theta), sorted by position:
d 6.546, I 83.5
d 6.342, I 100.0
d 3.399, I 82.2
d 3.368, I 29.5
d 3.313, I 43.3
d 3.273, I 73.0
d 3.171, I 69.1
d 2.779, I 28.5
d 1.976, I 48.2
d 1.699, I 34.6

***

10.
Diffraction record for BiCl3O. The powder XRD pattern is simulated, not measured: it uses a PBE-relaxed structure and Cu Kα (weighted mean of Kα1 and Kα2).

Structure:
```
BiCl3O
1.0
3.679 2.124 7.085
-3.679 2.124 7.085
0.000 -4.248 7.085
Bi Cl O
2 6 2
Cartesian
0.000 0.000 3.547
0.000 0.000 17.706
0.000 -2.128 5.291
-1.843 1.064 5.291
-1.843 -1.064 15.963
1.843 1.064 5.291
1.843 -1.064 15.963
0.000 2.128 15.963
0.000 0.000 8.636
0.000 0.000 12.617
```

The 10 most intense peaks (10 to 90 degrees two-theta), sorted by position:
d 7.085, I 100.0
d 6.104, I 77.4
d 5.465, I 55.1
d 3.679, I 56.0
d 3.265, I 98.3
d 2.551, I 93.0
d 2.197, I 24.6
d 2.035, I 27.4
d 1.987, I 29.2
d 1.840, I 24.8

***

11.
Diffraction record for Bi6ClO8. The powder XRD pattern is simulated, not measured: it uses a PBE-relaxed structure and Cu Kα (weighted mean of Kα1 and Kα2).

Structure:
```
Bi6ClO8
1.0
3.483 2.011 6.985
-3.483 2.011 6.985
0.000 -4.022 6.985
Bi Cl O
6 1 8
Cartesian
-2.108 -0.138 8.985
-0.934 -1.894 11.971
1.174 -1.756 8.985
-1.174 1.756 11.971
0.934 1.894 8.985
2.108 0.138 11.971
0.000 0.000 0.000
-0.939 -2.049 9.712
-2.244 -0.211 11.244
0.000 0.000 8.090
-1.305 1.838 9.712
1.305 -1.838 11.244
0.000 0.000 12.866
2.244 0.211 9.712
0.939 2.049 11.244
```

The 10 most intense peaks (10 to 90 degrees two-theta), sorted by position:
d 6.985, I 11.0
d 3.488, I 50.2
d 3.117, I 100.0
d 2.466, I 24.9
d 2.011, I 23.1
d 1.935, I 27.2
d 1.743, I 19.6
d 1.690, I 12.8
d 1.561, I 11.6
d 1.294, I 7.5

***

12.
Diffraction record for BiPbClO2. The powder XRD pattern is simulated, not measured: it uses a PBE-relaxed structure and Cu Kα (weighted mean of Kα1 and Kα2).

Structure:
```
BiPbClO2
1.0
2.857 -6.336 0.000
2.857 6.336 0.000
0.000 0.000 5.657
Bi Pb Cl O
2 2 2 4
Cartesian
2.857 5.224 4.242
2.857 -5.224 1.414
2.857 1.350 4.242
2.857 -1.350 1.414
2.857 3.099 1.414
2.857 -3.099 4.242
1.356 0.000 0.000
1.356 0.000 2.828
4.357 0.000 0.000
4.357 0.000 2.828
```

The 10 most intense peaks (10 to 90 degrees two-theta), sorted by position:
d 6.336, I 16.3
d 3.832, I 41.8
d 2.912, I 100.0
d 2.857, I 22.2
d 2.828, I 21.6
d 2.111, I 16.8
d 2.010, I 22.0
d 1.698, I 16.1
d 1.660, I 19.3
d 1.649, I 29.1